No. 1
Pr4CoS7: simulated PXRD pattern (Cu Kα, 1.54184 Å), based on a PBE-relaxed structure.

Cell and atoms:
a = 9.937 Å, b = 9.937 Å, c = 6.858 Å
α = 90.00°, β = 90.00°, γ = 120.00°
Sites, in units of the cell vectors:
Pr 0.154 0.373 0.000
Pr 0.219 0.846 0.000
Pr 0.333 0.667 0.457
Pr 0.373 0.219 0.500
Pr 0.627 0.781 0.000
Pr 0.667 0.333 0.957
Pr 0.781 0.154 0.500
Pr 0.846 0.627 0.500
Co 0.000 0.000 0.310
Co 0.000 0.000 0.810
S 0.070 0.562 0.244
S 0.098 0.227 0.605
S 0.128 0.902 0.605
S 0.227 0.128 0.105
S 0.333 0.667 0.846
S 0.438 0.508 0.244
S 0.492 0.930 0.244
S 0.508 0.070 0.744
S 0.562 0.492 0.744
S 0.667 0.333 0.346
S 0.773 0.872 0.605
S 0.872 0.098 0.105
S 0.902 0.773 0.105
S 0.930 0.438 0.744

Peak list (10 most intense, 10° ≤ 2θ ≤ 80°, by angle)
20.64°, I 11; 24.42°, I 100; 25.98°, I 16; 30.41°, I 12; 33.41°, I 41; 33.87°, I 17; 36.16°, I 39; 44.12°, I 15; 44.90°, I 30; 45.06°, I 15

---

No. 2
Pr5CoSb2: simulated PXRD pattern (Cu Kα, 1.54184 Å), based on a PBE-relaxed structure.

Cell and atoms:
a = 12.992 Å, b = 8.961 Å, c = 8.392 Å
α = 90.00°, β = 90.00°, γ = 90.00°
Sites, in units of the cell vectors:
Pr 0.002 0.250 0.046
Pr 0.073 0.532 0.329
Pr 0.073 0.968 0.329
Pr 0.188 0.250 0.648
Pr 0.203 0.750 0.669
Pr 0.297 0.250 0.169
Pr 0.312 0.750 0.148
Pr 0.427 0.032 0.829
Pr 0.427 0.468 0.829
Pr 0.498 0.750 0.546
Pr 0.502 0.250 0.454
Pr 0.573 0.532 0.171
Pr 0.573 0.968 0.171
Pr 0.688 0.250 0.852
Pr 0.703 0.750 0.831
Pr 0.797 0.250 0.331
Pr 0.812 0.750 0.352
Pr 0.927 0.032 0.671
Pr 0.927 0.468 0.671
Pr 0.998 0.750 0.954
Co 0.007 0.250 0.430
Co 0.493 0.750 0.930
Co 0.507 0.250 0.070
Co 0.993 0.750 0.570
Sb 0.177 0.003 0.951
Sb 0.177 0.497 0.951
Sb 0.323 0.503 0.451
Sb 0.323 0.997 0.451
Sb 0.677 0.003 0.549
Sb 0.677 0.497 0.549
Sb 0.823 0.503 0.049
Sb 0.823 0.997 0.049

Peak list (10 most intense, 10° ≤ 2θ ≤ 80°, by angle)
26.40°, I 47; 29.49°, I 73; 29.65°, I 27; 29.98°, I 100; 30.62°, I 94; 32.32°, I 79; 32.75°, I 44; 34.10°, I 25; 40.26°, I 45; 50.71°, I 31

---

No. 3
PrCo9Si4: simulated PXRD pattern (Cu Kα, 1.54184 Å), based on a PBE-relaxed structure.

Cell and atoms:
a = 7.960 Å, b = 7.960 Å, c = 7.960 Å
α = 121.56°, β = 121.56°, γ = 87.32°
Sites, in units of the cell vectors:
Pr 0.250 0.250 0.000
Pr 0.750 0.750 0.000
Co 0.000 0.500 0.500
Co 0.051 0.551 0.241
Co 0.069 0.801 0.870
Co 0.191 0.949 0.500
Co 0.199 0.069 0.269
Co 0.301 0.569 0.870
Co 0.309 0.809 0.759
Co 0.431 0.301 0.731
Co 0.449 0.691 0.500
Co 0.500 0.000 0.500
Co 0.551 0.309 0.500
Co 0.569 0.699 0.269
Co 0.691 0.191 0.241
Co 0.699 0.431 0.130
Co 0.801 0.931 0.731
Co 0.809 0.051 0.500
Co 0.931 0.199 0.130
Co 0.949 0.449 0.759
Si 0.047 0.210 0.500
Si 0.210 0.710 0.162
Si 0.290 0.453 0.500
Si 0.453 0.953 0.162
Si 0.547 0.047 0.838
Si 0.710 0.547 0.500
Si 0.790 0.290 0.838
Si 0.953 0.790 0.500

Peak list (10 most intense, 10° ≤ 2θ ≤ 80°, by angle)
31.06°, I 16; 35.19°, I 21; 36.23°, I 21; 36.57°, I 16; 38.93°, I 24; 39.89°, I 100; 47.35°, I 40; 48.43°, I 33; 48.97°, I 19; 52.67°, I 13

---

No. 4
Pr2CoSi3: simulated PXRD pattern (Cu Kα, 1.54184 Å), based on a PBE-relaxed structure.

Cell and atoms:
a = 4.041 Å, b = 4.041 Å, c = 8.655 Å
α = 90.00°, β = 90.00°, γ = 120.00°
Sites, in units of the cell vectors:
Pr 0.000 0.000 0.245
Pr 0.000 0.000 0.755
Co 0.333 0.667 0.000
Si 0.333 0.667 0.500
Si 0.667 0.333 0.000
Si 0.667 0.333 0.500

Peak list (10 most intense, 10° ≤ 2θ ≤ 80°, by angle)
20.52°, I 7; 25.45°, I 33; 32.92°, I 100; 41.74°, I 12; 44.86°, I 30; 49.53°, I 11; 56.75°, I 21; 62.94°, I 21; 70.63°, I 10; 75.10°, I 18

---

No. 5
PrCo4Si: simulated PXRD pattern (Cu Kα, 1.54184 Å), based on a PBE-relaxed structure.

Cell and atoms:
a = 5.148 Å, b = 8.356 Å, c = 3.924 Å
α = 90.00°, β = 90.00°, γ = 90.00°
Sites, in units of the cell vectors:
Pr 0.000 0.000 0.000
Pr 0.500 0.500 0.000
Co 0.000 0.342 0.000
Co 0.000 0.658 0.000
Co 0.250 0.250 0.500
Co 0.250 0.750 0.500
Co 0.500 0.158 0.000
Co 0.500 0.842 0.000
Co 0.750 0.250 0.500
Co 0.750 0.750 0.500
Si 0.000 0.500 0.500
Si 0.500 0.000 0.500

Peak list (10 most intense, 10° ≤ 2θ ≤ 80°, by angle)
30.58°, I 33; 31.27°, I 51; 36.69°, I 53; 41.19°, I 41; 41.98°, I 85; 43.55°, I 100; 46.28°, I 42; 60.46°, I 24; 63.67°, I 32; 68.54°, I 25

---

No. 6
CoPt: simulated PXRD pattern (Cu Kα, 1.54184 Å), based on a PBE-relaxed structure.

Cell and atoms:
a = 2.698 Å, b = 2.698 Å, c = 3.727 Å
α = 90.00°, β = 90.00°, γ = 90.00°
Sites, in units of the cell vectors:
Co 0.000 0.000 0.000
Pt 0.500 0.500 0.500

Peak list (10 most intense, 10° ≤ 2θ ≤ 80°, by angle)
23.88°, I 26; 33.20°, I 23; 41.31°, I 100; 47.66°, I 33; 48.88°, I 15; 53.99°, I 13; 60.37°, I 9; 69.69°, I 10; 70.66°, I 20; 74.84°, I 5

---

No. 7
CoPt: simulated PXRD pattern (Cu Kα, 1.54184 Å), based on a PBE-relaxed structure.

Cell and atoms:
a = 2.712 Å, b = 2.712 Å, c = 12.885 Å
α = 90.00°, β = 90.00°, γ = 120.00°
Sites, in units of the cell vectors:
Co 0.000 0.000 0.000
Co 0.333 0.667 0.667
Co 0.667 0.333 0.333
Pt 0.000 0.000 0.500
Pt 0.333 0.667 0.167
Pt 0.667 0.333 0.833

Peak list (10 most intense, 10° ≤ 2θ ≤ 80°, by angle)
20.68°, I 48; 38.99°, I 30; 40.90°, I 100; 42.08°, I 31; 47.94°, I 63; 52.74°, I 13; 64.30°, I 8; 69.31°, I 21; 70.96°, I 19; 73.21°, I 11

---

No. 8
Co3Pt: simulated PXRD pattern (Cu Kα, 1.54184 Å), based on a PBE-relaxed structure.

Cell and atoms:
a = 2.637 Å, b = 2.637 Å, c = 8.291 Å
α = 90.00°, β = 90.00°, γ = 120.00°
Sites, in units of the cell vectors:
Co 0.000 0.000 0.000
Co 0.667 0.333 0.233
Co 0.667 0.333 0.767
Pt 0.000 0.000 0.500

Peak list (10 most intense, 10° ≤ 2θ ≤ 80°, by angle)
10.67°, I 63; 21.43°, I 18; 32.39°, I 11; 39.46°, I 33; 41.00°, I 23; 43.67°, I 23; 45.34°, I 100; 51.94°, I 9; 60.30°, I 19; 71.57°, I 16